[1]
# K2Al2O3F2
Calculated X-ray diffraction stick pattern, CuKα. Input: a DFT-relaxed cell (GGA-PBE, the Materials Project).
No peak broadening, texture or thermal motion is included.

Structure:
Lattice parameters (Å, degrees): 11.3870 8.2862 6.1868 90.00 91.26 90.00
Space group C2/m (No. 12)
Asymmetric unit:
K 0.1016 0.0000 0.2441 (multiplicity 4)
K 0.1582 0.5000 0.1698 (multiplicity 4)
Al 0.1253 0.2991 0.6448 (multiplicity 8)
O 0.0000 0.2379 0.5000 (multiplicity 4)
O 0.1221 0.5000 0.7332 (multiplicity 4)
O 0.2500 0.2500 0.5000 (multiplicity 4)
F 0.1314 0.1851 0.8860 (multiplicity 8)

Main lines, sorted by position (10° ≤ 2θ ≤ 80°):
two_theta	d [Å]	intensity	index
25.87	3.445	62	0 2 1
30.18	2.962	82	2 2 -1
30.51	2.930	100	2 2 1
31.43	2.846	68	4 0 0
31.71	2.822	21	1 1 -2
36.25	2.478	51	0 2 2
42.88	2.109	26	3 3 -1
43.70	2.072	46	0 4 0

***

[2]
# CdSnSb2
Calculated X-ray diffraction stick pattern, CuKα. Input: a DFT-relaxed cell (GGA-PBE, the Materials Project).
No peak broadening, texture or thermal motion is included.

Structure:
Lattice parameters (Å, degrees): 6.6442 6.6442 13.1368 90.00 90.00 90.00
Space group I-42d (No. 122)
Asymmetric unit:
Cd 0.0000 0.0000 0.0000 (multiplicity 4)
Sn 0.0000 0.0000 0.5000 (multiplicity 4)
Sb 0.2479 0.7500 0.1250 (multiplicity 8)

Main lines, sorted by position (10° ≤ 2θ ≤ 80°):
two_theta	d [Å]	intensity	index
23.28	3.821	100	1 1 2
38.32	2.349	27	2 2 0
38.55	2.336	54	2 0 4
45.32	2.001	34	3 1 2
45.72	1.985	16	1 1 6
55.31	1.661	9	4 0 0
61.13	1.516	14	3 1 6
69.43	1.354	19	4 2 4

***

[3]
# U7Te12
Calculated X-ray diffraction stick pattern, CuKα. Input: a DFT-relaxed cell (GGA-PBE, the Materials Project).
No peak broadening, texture or thermal motion is included.

Structure:
Lattice parameters (Å, degrees): 12.4211 12.4211 4.1909 90.00 90.00 120.00
Space group P-6 (No. 174)
Asymmetric unit:
U 0.0000 0.0000 0.0000 (multiplicity 1)
U 0.1597 0.4521 0.5000 (multiplicity 3)
U 0.4309 0.2759 0.0000 (multiplicity 3)
Te 0.0088 0.2564 0.0000 (multiplicity 3)
Te 0.1362 0.6288 0.0000 (multiplicity 3)
Te 0.2120 0.2086 0.5000 (multiplicity 3)
Te 0.5247 0.1390 0.5000 (multiplicity 3)

Main lines, sorted by position (10° ≤ 2θ ≤ 80°):
two_theta	d [Å]	intensity	index
21.86	4.066	45	1 2 0
30.64	2.918	100	2 1 1
32.87	2.725	50	3 0 1
36.00	2.495	34	2 2 1
36.99	2.430	37	1 3 1
38.35	2.347	58	4 1 0
43.17	2.095	27	0 0 2
59.10	1.563	34	4 1 2

***

[4]
# CaO
Calculated X-ray diffraction stick pattern, CuKα. Input: a DFT-relaxed cell (GGA-PBE, the Materials Project).
No peak broadening, texture or thermal motion is included.

Structure:
Lattice parameters (Å, degrees): 4.7101 4.7184 16.7490 90.00 90.00 90.00
Space group Cmce (No. 64)
Asymmetric unit:
Ca 0.0000 0.0672 0.1785 (multiplicity 8)
O 0.0000 0.0670 0.3196 (multiplicity 8)

Main lines, sorted by position (10° ≤ 2θ ≤ 80°):
two_theta	d [Å]	intensity	index
10.56	8.374	100	0 0 2
31.25	2.862	10	1 1 3
32.06	2.791	13	0 0 6
38.12	2.361	8	0 2 0
38.22	2.355	9	2 0 0
38.54	2.336	8	0 2 1
39.74	2.268	9	2 0 2
50.70	1.801	8	2 0 6